Structure and calculated X-ray diffraction stick pattern of Ho3Zn2Ga9 (a crystal structure in Alexandria, relaxed with PBE; Cu Kα X-rays).
Lines closer than 0.1° are merged.

Top 12 peaks for 2θ = 10–80°, by angle:
- 30.34 deg, intensity 17
- 34.24 deg, intensity 28
- 34.39 deg, intensity 21
- 35.30 deg, intensity 100
- 37.26 deg, intensity 12
- 43.18 deg, intensity 28
- 43.69 deg, intensity 20
- 56.33 deg, intensity 11
- 63.11 deg, intensity 13
- 63.85 deg, intensity 11
- 68.46 deg, intensity 14
- 74.07 deg, intensity 11

Cell and atoms:
Cell: 8.267 8.267 8.267 Å, 150.64 105.00 82.51°
Sites, in units of the cell vectors:
Ho 0.000 0.000 0.000
Ho 0.320 0.320 0.000
Ho 0.680 0.680 0.000
Zn 0.288 0.500 0.788
Zn 0.712 0.500 0.212
Ga 0.037 0.662 0.375
Ga 0.136 0.860 0.276
Ga 0.287 0.662 0.625
Ga 0.417 0.140 0.276
Ga 0.500 0.000 0.500
Ga 0.583 0.860 0.724
Ga 0.713 0.338 0.375
Ga 0.864 0.140 0.724
Ga 0.963 0.338 0.625